Diffraction record for NbIr5Ru2. The powder XRD pattern is simulated, not measured: it uses a crystal structure in Alexandria, relaxed with GGA-PBE and Cu Kα, 1.54184 Å.

Atomic structure:
```
NbIr5Ru2
1.0
-3.344 3.344 5.552
3.344 -3.344 5.552
3.344 3.344 -5.552
Nb Ir Ru
2 10 4
Cartesian
0.000 0.000 2.776 Nb
0.000 0.000 8.328 Nb
0.000 0.000 0.000 Ir
2.385 -0.959 1.871 Ir
4.303 -0.959 3.681 Ir
4.303 0.959 1.871 Ir
2.385 0.959 3.681 Ir
0.000 0.000 5.552 Ir
0.959 2.385 1.871 Ir
-0.959 2.385 3.681 Ir
-0.959 4.303 1.871 Ir
0.959 4.303 3.681 Ir
2.429 0.915 0.000 Ru
2.429 -0.915 5.552 Ru
0.915 4.259 0.000 Ru
0.915 2.429 5.552 Ru
```

Largest 8 diffraction maxima, in order of rising 2θ, 10° ≤ 2θ ≤ 80°:
2θ (°), I (rel.)
37.57, 11
38.71, 100
42.32, 8
42.76, 48
49.24, 13
55.41, 12
67.22, 15
76.84, 8